This entry pairs a crystal structure of InAg8S6 with its computed XRD peak list. Radiation: CuKα. Structure: the GGA-PBE geometry in Alexandria.

Largest 10 diffraction maxima, sorted by position, 2θ from 15° to 90°:
hkl 0 2 1, 24.59°, rel. 41.5; hkl 2 1 1, 26.84°, rel. 44.8; hkl 2 0 2, 28.24°, rel. 100.0; hkl 0 2 2, 28.61°, rel. 55.2; hkl 2 1 2, 30.58°, rel. 43.4; hkl 0 1 4, 35.66°, rel. 61.7; hkl 2 3 0, 42.07°, rel. 42.6; hkl 2 1 4, 42.66°, rel. 38.6; hkl 3 0 3, 42.95°, rel. 39.2; hkl 2 2 4, 47.54°, rel. 44.6

```
InAg8S6
1.0
7.8483 0.0000 0.0000
0.0000 7.6994 0.0000
0.0000 0.0000 10.6559
In Ag S
2 16 12
Direct
0.0000 0.2504 0.0000
0.5000 0.7496 0.5000
0.0000 0.6183 0.5126
0.0000 0.6942 0.9553
0.1976 0.1044 0.3567
0.2060 0.5288 0.7491
0.2314 0.1604 0.6307
0.2686 0.8396 0.1307
0.2940 0.4712 0.2491
0.3024 0.8956 0.8567
0.5000 0.3058 0.4553
0.5000 0.3817 0.0126
0.6976 0.8956 0.8567
0.7060 0.4712 0.2491
0.7314 0.8396 0.1307
0.7686 0.1604 0.6307
0.7940 0.5288 0.7491
0.8024 0.1044 0.3567
0.0000 0.0115 0.1575
0.0000 0.2832 0.5051
0.0000 0.5060 0.1402
0.0000 0.7869 0.7360
0.2385 0.7596 0.3748
0.2615 0.2404 0.8748
0.5000 0.2131 0.2360
0.5000 0.4940 0.6402
0.5000 0.7168 0.0051
0.5000 0.9885 0.6575
0.7385 0.2404 0.8748
0.7615 0.7596 0.3748
```